The following is a computed X-ray diffraction stick pattern of La3CeAu4. It was derived from DFT lattice parameters and positions (GGA-PBE), using Cu Ka.

```
data_La3CeAu4
_space_group_name_H-M_alt 'I m -3 m'
_space_group_IT_number 229
_space_group_name_Hall '-I 4 2 3'
_cell_length_a 7.5334
_cell_length_b 7.5334
_cell_length_c 7.5334
_cell_angle_alpha 90.00
_cell_angle_beta 90.00
_cell_angle_gamma 90.00
loop_
_atom_site_label
_atom_site_type_symbol
_atom_site_fract_x
_atom_site_fract_y
_atom_site_fract_z
_atom_site_occupancy
La1 La 0.0000 0.0000 0.5000 1
Ce1 Ce 0.0000 0.0000 0.0000 1
Au1 Au 0.2500 0.2500 0.2500 1
```

Largest 6 diffraction maxima, in order of falling intensity, 10° ≤ 2θ ≤ 80°:
| h k l | Position (°2θ) | I_rel |
| --- | --- | --- |
| 2 2 0 | 33.6 | 1000 |
| 4 2 2 | 60.2 | 380 |
| 4 0 0 | 48.3 | 183 |
| 4 4 0 | 70.7 | 118 |
| 2 0 0 | 23.6 | 37 |
| 4 2 0 | 54.5 | 18 |


The following is a computed X-ray diffraction stick pattern of Ce3Th2Sc. It was derived from DFT lattice parameters and positions (GGA-PBE), using Cu Ka.

```
data_Ce3Th2Sc
_space_group_name_H-M_alt 'P -1'
_space_group_IT_number 2
_cell_length_a 5.8906
_cell_length_b 6.8628
_cell_length_c 9.0981
_cell_angle_alpha 101.49
_cell_angle_beta 96.11
_cell_angle_gamma 106.46
loop_
_space_group_symop_operation_xyz
'x,y,z'
'-x,-y,-z'
loop_
_atom_site_label
_atom_site_type_symbol
_atom_site_fract_x
_atom_site_fract_y
_atom_site_fract_z
_atom_site_occupancy
Ce1 Ce 0.2447 0.2030 0.0814 1
Ce2 Ce 0.2478 0.8688 0.7522 1
Ce3 Ce 0.2524 0.5415 0.4221 1
Th1 Th 0.2474 0.0425 0.4165 1
Th2 Th 0.2546 0.6992 0.0882 1
Sc1 Sc 0.2481 0.3708 0.7505 1
```

Largest 6 diffraction maxima, in order of falling intensity, 10° ≤ 2θ ≤ 80°:
| h k l | Position (°2θ) | I_rel |
| --- | --- | --- |
| 0 2 1 | 32.0 | 1000 |
| 1 -2 2 | 31.9 | 501 |
| 2 0 0 | 32.2 | 494 |
| 3 0 -3 | 53.7 | 349 |
| 1 2 -2 | 36.9 | 339 |
| 1 0 3 | 37.1 | 336 |


The following is a computed X-ray diffraction stick pattern of Al3Te. It was derived from DFT lattice parameters and positions (GGA-PBE), using Cu Ka.

```
data_Al3Te
_space_group_name_H-M_alt 'P n m a'
_space_group_IT_number 62
_cell_length_a 7.6694
_cell_length_b 7.4646
_cell_length_c 5.9891
_cell_angle_alpha 90.00
_cell_angle_beta 90.00
_cell_angle_gamma 90.00
loop_
_space_group_symop_operation_xyz
'x,y,z'
'-x,-y,-z'
'-x+1/2,-y,z+1/2'
'x+1/2,y,-z+1/2'
'x+1/2,-y+1/2,-z+1/2'
'-x+1/2,y+1/2,z+1/2'
'-x,y+1/2,-z'
'x,-y+1/2,z'
loop_
_atom_site_label
_atom_site_type_symbol
_atom_site_fract_x
_atom_site_fract_y
_atom_site_fract_z
_atom_site_occupancy
Al1 Al 0.0572 0.2500 0.0865 1
Al2 Al 0.2316 0.5429 0.8558 1
Te1 Te 0.0078 0.2500 0.6232 1
```

Largest 6 diffraction maxima, in order of falling intensity, 10° ≤ 2θ ≤ 80°:
| h k l | Position (°2θ) | I_rel |
| --- | --- | --- |
| 1 1 2 | 34.3 | 1000 |
| 2 2 0 | 33.5 | 874 |
| 2 1 1 | 30.2 | 486 |
| 1 0 1 | 18.8 | 395 |
| 0 1 1 | 19.0 | 365 |
| 1 3 2 | 49.1 | 358 |


The following is a computed X-ray diffraction stick pattern of Mg16Al12Pd. It was derived from DFT lattice parameters and positions (GGA-PBE), using Cu Ka.

```
data_Mg16Al12Pd
_space_group_name_H-M_alt 'R 3 m'
_space_group_IT_number 160
_space_group_name_Hall 'R 3 -2"'
_cell_length_a 14.7029
_cell_length_b 14.7029
_cell_length_c 9.1698
_cell_angle_alpha 90.00
_cell_angle_beta 90.00
_cell_angle_gamma 120.00
loop_
_atom_site_label
_atom_site_type_symbol
_atom_site_fract_x
_atom_site_fract_y
_atom_site_fract_z
_atom_site_occupancy
Mg1 Mg 0.0000 0.0000 0.0000 1
Mg2 Mg 0.0161 0.3077 0.2928 1
Mg3 Mg 0.0633 0.5317 0.2048 1
Mg4 Mg 0.1840 0.0920 0.5031 1
Mg5 Mg 0.2168 0.4336 0.7734 1
Al1 Al 0.9999 0.1816 0.8072 1
Al2 Al 0.0630 0.1259 0.2791 1
Al3 Al 0.0764 0.5382 0.7166 1
Pd1 Pd 0.0000 0.0000 0.7122 1
```

Largest 6 diffraction maxima, in order of falling intensity, 10° ≤ 2θ ≤ 80°:
| h k l | Position (°2θ) | I_rel |
| --- | --- | --- |
| 0 5 1 | 36.6 | 1000 |
| 3 0 3 | 36.2 | 647 |
| 2 3 2 | 36.5 | 538 |
| 1 1 0 | 12.0 | 467 |
| 5 1 1 | 40.7 | 413 |
| 1 0 1 | 11.9 | 360 |